This entry pairs a crystal structure of GaIrRu3 with its computed powder XRD pattern. Radiation: Cu Kα. Structure: the PBE geometry in Alexandria.

Structure:
```
GaIrRu3
1.0
4.724 0.000 0.000
0.000 4.724 0.000
0.000 0.000 4.724
Ga Ir Ru
1 1 3
Cartesian
0.000 0.000 0.000
2.362 2.362 2.362
0.000 2.362 2.362
2.362 0.000 2.362
2.362 2.362 0.000
```

Most intense lines, 5 to 70 degrees two-theta, in order of falling intensity:
Position (°2θ)  I/Imax
38.1  100.0
18.8  87.0
55.0  68.4
42.8  42.3
26.7  38.8
32.8  23.4
68.8  22.9
58.6  21.2

=====

This entry pairs a crystal structure of Fe2Ni3Rh with its computed powder XRD pattern. Radiation: Cu Kα. Structure: the PBE geometry in Alexandria.

Structure:
```
Fe2Ni3Rh
1.0
-3.844 3.844 5.038
3.844 -3.844 5.038
3.844 3.844 -5.038
Fe Ni Rh
8 12 4
Cartesian
2.519 1.922 0.270
5.169 1.922 0.270
3.844 0.597 2.249
0.000 0.597 2.789
3.844 3.247 2.249
0.000 3.247 2.789
-1.325 1.922 4.768
1.325 1.922 4.768
3.844 0.000 0.000
1.631 -0.291 1.259
6.056 -0.291 1.259
1.631 3.553 -1.259
2.213 -0.291 3.778
-1.922 1.922 2.519
0.000 0.000 5.038
1.922 1.922 2.519
1.631 4.135 1.259
2.213 0.291 6.297
-2.213 4.135 3.778
2.213 4.135 3.778
3.844 1.922 -2.024
0.000 1.922 0.495
3.844 1.922 4.542
0.000 1.922 7.061
```

Most intense lines, 5 to 70 degrees two-theta, in order of falling intensity:
Position (°2θ)  I/Imax
43.4  100.0
47.3  46.0
44.5  45.3
42.9  44.7
49.3  33.8
46.6  33.6
37.4  33.5
41.2  28.9

=====

This entry pairs a crystal structure of Tb2Si4Tc5 with its computed powder XRD pattern. Radiation: Cu Kα. Structure: the PBE geometry in Alexandria.

Structure:
```
Tb2Si4Tc5
1.0
0.000 5.007 6.795
2.832 0.000 6.795
2.832 5.007 0.000
Tb Si Tc
2 4 5
Cartesian
2.832 5.007 1.778
2.832 5.007 11.812
2.832 3.570 4.948
2.832 3.570 8.642
2.832 6.444 4.948
2.832 6.444 8.642
1.416 2.503 0.000
1.416 2.503 3.397
1.416 2.503 6.795
2.832 5.007 6.795
4.248 7.510 10.192
```

Most intense lines, 5 to 70 degrees two-theta, in order of falling intensity:
Position (°2θ)  I/Imax
36.5  100.0
31.8  94.8
26.7  58.7
41.5  57.7
37.0  57.2
35.9  42.7
66.9  32.2
56.0  24.5

=====

This entry pairs a crystal structure of Li2GaAu2 with its computed powder XRD pattern. Radiation: Cu Kα. Structure: the PBE geometry in Alexandria.

Structure:
```
Li2GaAu2
1.0
3.709 0.000 0.000
0.000 3.709 0.000
0.000 0.000 13.098
Li Ga Au
4 2 4
Cartesian
0.000 1.854 3.275
0.000 1.854 9.824
1.854 0.000 3.275
1.854 0.000 9.824
0.000 0.000 0.000
1.854 1.854 6.549
0.000 0.000 5.143
0.000 0.000 7.956
1.854 1.854 1.407
1.854 1.854 11.692
```

Most intense lines, 5 to 70 degrees two-theta, in order of falling intensity:
Position (°2θ)  I/Imax
25.0  100.0
42.2  97.6
34.2  87.0
31.7  61.5
66.8  50.7
13.5  41.1
44.2  35.6
49.1  34.5